This entry pairs a crystal structure of ErF4 with its theoretical PXRD pattern. Radiation: Cu Kα (weighted mean of Kα1 and Kα2). Structure: the PBE geometry in OQMD.

Main lines, low angle first (10° ≤ 2θ ≤ 90°):
| Position (°2θ) | intensity |
| --- | --- |
| 17.33 | 60 |
| 17.52 | 40 |
| 18.93 | 100 |
| 23.67 | 42 |
| 25.90 | 46 |
| 27.73 | 40 |
| 30.15 | 35 |
| 30.48 | 66 |
| 34.60 | 71 |
| 38.75 | 30 |
| 47.45 | 39 |
| 54.33 | 36 |

Crystal structure
Lattice parameters (Å, degrees): 5.8917 5.8917 4.7661 95.27 95.27 118.49
Fractional positions:
Er  0.1714  0.8286  0.0000
Er  0.8286  0.1714  0.0000
F  0.0972  0.0972  0.7823
F  0.1106  0.5330  0.2571
F  0.4067  0.4067  0.5775
F  0.4670  0.8894  0.7429
F  0.5330  0.1106  0.2571
F  0.5933  0.5933  0.4225
F  0.8894  0.4670  0.7429
F  0.9028  0.9028  0.2177